LiGaPd2: theoretical XRD peak list (Cu Kα, 1.54184 Å), based on a structure optimized by DFT (GGA-PBE).
Lines closer than 0.1° are merged.

Structural model:
Cell: 5.809 6.646 5.819 Å, 90.00 90.00 90.00°
Space group Pnma (No. 62)
Symmetry-distinct sites (fractional):
Li (0.001, 0.250, 0.001)
Ga (0.000, 0.250, 0.499)
Pd (0.250, 0.001, 0.751)

Most intense lines, 15 to 90 degrees two-theta, by angle:
21.6°, intensity 14.5, hkl 1 0 1; 26.8°, intensity 17.7, hkl 0 2 0; 30.8°, intensity 24.7, hkl 2 0 0; 34.7°, intensity 8.7, hkl 1 2 1; 41.3°, intensity 100.0, hkl 2 2 0; 44.1°, intensity 41.3, hkl 2 0 2; 52.3°, intensity 10.8, hkl 2 2 2; 55.3°, intensity 10.4, hkl 0 4 0; 73.3°, intensity 17.6, hkl 2 4 2; 79.1°, intensity 28.4, hkl 4 2 2